Starting from a DFT-relaxed cell (PBE, Alexandria), the X-ray powder pattern of CaIn8Pd2 was computed for Cu Kα, 1.54184 Å.

Cell and atoms:
abc: 6.4177 6.4177 7.8417
angles: 90.00 90.00 90.00
Element x y z (fractional)
1 Ca 0.0000 0.0000 0.0000
2 In 0.2572 0.2572 0.2882
3 In 0.2572 0.2572 0.7118
4 In 0.2572 0.7428 0.2882
5 In 0.2572 0.7428 0.7118
6 In 0.7428 0.2572 0.2882
7 In 0.7428 0.2572 0.7118
8 In 0.7428 0.7428 0.2882
9 In 0.7428 0.7428 0.7118
10 Pd 0.0000 0.5000 0.5000
11 Pd 0.5000 0.0000 0.5000

The 8 most intense peaks (2θ from 5° to 70°), most intense first:
- 36.17°, d = 2.483 Å, I 100, hkl 2 0 2
- 11.28°, d = 7.842 Å, I 54, hkl 0 0 1
- 39.73°, d = 2.269 Å, I 50, hkl 2 2 0
- 22.66°, d = 3.924 Å, I 42, hkl 0 0 2
- 27.80°, d = 3.209 Å, I 39, hkl 2 0 0
- 44.71°, d = 2.027 Å, I 30, hkl 2 0 3
- 69.79°, d = 1.348 Å, I 27, hkl 4 2 2
- 46.22°, d = 1.964 Å, I 19, hkl 2 2 2

=====

Starting from a DFT-relaxed cell (PBE, Alexandria), the X-ray powder pattern of Hg4TeSe2Br was computed for Cu Kα, 1.54184 Å.

Cell and atoms:
abc: 6.5025 6.5025 13.2227
angles: 90.00 90.00 90.00
Element x y z (fractional)
1 Hg 0.2355 0.2355 0.3596
2 Hg 0.2355 0.7645 0.6404
3 Hg 0.2645 0.2645 0.8596
4 Hg 0.2645 0.7355 0.1404
5 Hg 0.7355 0.2645 0.1404
6 Hg 0.7355 0.7355 0.8596
7 Hg 0.7645 0.2355 0.6404
8 Hg 0.7645 0.7645 0.3596
9 Te 0.0000 0.0000 0.5000
10 Te 0.5000 0.5000 0.0000
11 Se 0.0000 0.5000 0.2500
12 Se 0.0000 0.5000 0.7500
13 Se 0.5000 0.0000 0.2500
14 Se 0.5000 0.0000 0.7500
15 Br 0.0000 0.0000 0.0000
16 Br 0.5000 0.5000 0.5000

The 8 most intense peaks (2θ from 5° to 70°), most intense first:
- 23.57°, d = 3.775 Å, I 100, hkl 1 1 2
- 38.85°, d = 2.318 Å, I 45, hkl 2 0 4
- 46.24°, d = 1.963 Å, I 32, hkl 3 1 2
- 39.19°, d = 2.299 Å, I 24, hkl 2 2 0
- 45.65°, d = 1.987 Å, I 14, hkl 1 1 6
- 61.70°, d = 1.503 Å, I 11, hkl 3 1 6
- 27.43°, d = 3.251 Å, I 8, hkl 2 0 0
- 56.62°, d = 1.626 Å, I 8, hkl 4 0 0